Record 1
Theoretical PXRD pattern of Na4Dy3GaS8 for Cu Kα (weighted mean of Kα1 and Kα2), from a crystal structure in Alexandria, relaxed with GGA-PBE.
Lines closer than 0.1° are merged.

Top 12 peaks for 2θ = 10–80°, in order of rising 2θ:
d/Å, 2theta, I (rel.), index
6.691, 13.23, 82, 0 0 1
3.340, 26.69, 46, 4 0 -1
3.208, 27.81, 25, 2 2 0
2.807, 31.88, 100, 4 0 0
2.588, 34.66, 14, 2 2 1
2.188, 41.26, 19, 2 2 -3
2.016, 44.97, 35, 2 2 2
1.955, 46.45, 34, 0 4 0
1.876, 48.52, 19, 6 2 -3
1.688, 54.37, 15, 4 4 -1
1.606, 57.39, 14, 8 0 -4
1.271, 74.69, 15, 6 2 2

```
data_Na4Dy3GaS8
_chemical_formula_sum 'Na8 Dy6 Ga2 S16'
_cell_length_a 13.5478
_cell_length_b 7.8172
_cell_length_c 8.0728
_cell_angle_alpha 90.00
_cell_angle_beta 124.02
_cell_angle_gamma 90.00
_space_group_name_H-M_alt 'C 1 2/m 1'
_space_group_IT_number 12
loop_
_space_group_symop_operation_xyz
'x,y,z'
'-x,-y,-z'
'-x,y,-z'
'x,-y,z'
'x+1/2,y+1/2,z'
'-x+1/2,-y+1/2,-z'
'-x+1/2,y+1/2,-z'
'x+1/2,-y+1/2,z'
loop_
_atom_site_label
_atom_site_type_symbol
_atom_site_fract_x
_atom_site_fract_y
_atom_site_fract_z
Na1 Na 0.0000 0.0000 0.0000
Na2 Na 0.0000 0.5000 0.0000
Na3 Na 0.2500 0.2500 0.0000
Dy1 Dy 0.0000 0.0000 0.5000
Dy2 Dy 0.2500 0.2500 0.5000
Ga1 Ga 0.0000 0.5000 0.5000
S1 S 0.0055 0.2640 0.2803
S2 S 0.2318 0.5000 0.7207
S3 S 0.2426 0.0000 0.7279
```

Record 2
Theoretical PXRD pattern of BaDy2InO5 for Cu Kα (weighted mean of Kα1 and Kα2), from a crystal structure in Alexandria, relaxed with GGA-PBE.
Lines closer than 0.1° are merged.

Top 12 peaks for 2θ = 10–80°, in order of rising 2θ:
d/Å, 2theta, I (rel.), index
3.255, 27.40, 9, 0 1 3
2.962, 30.18, 26, 0 2 0
2.922, 30.59, 17, 0 0 4
2.903, 30.80, 100, 1 1 2
2.080, 43.50, 20, 0 2 4
2.026, 44.73, 20, 2 0 0
1.698, 53.99, 21, 1 3 2
1.683, 54.51, 8, 1 1 6
1.672, 54.91, 17, 2 2 0
1.482, 62.71, 8, 0 4 0
1.451, 64.16, 12, 2 2 4
1.285, 73.74, 8, 3 1 2

```
data_BaDy2InO5
_chemical_formula_sum 'Ba2 Dy4 In2 O10'
_cell_length_a 4.0524
_cell_length_b 5.9234
_cell_length_c 11.6897
_cell_angle_alpha 90.00
_cell_angle_beta 90.00
_cell_angle_gamma 90.00
_space_group_name_H-M_alt 'I m m m'
_space_group_IT_number 71
_space_group_name_Hall '-I 2 2'
loop_
_atom_site_label
_atom_site_type_symbol
_atom_site_fract_x
_atom_site_fract_y
_atom_site_fract_z
Ba1 Ba 0.0000 0.0000 0.0000
Dy1 Dy 0.0000 0.5000 0.2163
In1 In 0.0000 0.0000 0.5000
O1 O 0.0000 0.2362 0.3489
O2 O 0.0000 0.5000 0.0000
```

Record 3
Theoretical PXRD pattern of BaLiTa for Cu Kα (weighted mean of Kα1 and Kα2), from a crystal structure in Alexandria, relaxed with GGA-PBE.
Lines closer than 0.1° are merged.

Top 12 peaks for 2θ = 10–80°, in order of rising 2θ:
d/Å, 2theta, I (rel.), index
7.523, 11.76, 82, 0 0 1
6.074, 14.58, 100, 0 1 1
3.762, 23.65, 19, 0 0 2
3.346, 26.64, 22, 0 2 1
3.078, 29.01, 29, 0 2 0
3.037, 29.41, 60, 0 2 2
2.928, 30.53, 28, 1 0 1
2.763, 32.40, 29, 0 1 -2
2.642, 33.93, 68, 1 2 0
2.633, 34.05, 86, 1 1 2
2.316, 38.88, 19, 1 2 -1
1.662, 55.27, 26, 1 3 4

```
data_BaLiTa
_chemical_formula_sum 'Ba2 Li2 Ta2'
_cell_length_a 3.4527
_cell_length_b 6.9092
_cell_length_c 8.1802
_cell_angle_alpha 67.63
_cell_angle_beta 89.94
_cell_angle_gamma 75.62
_space_group_name_H-M_alt 'P -1'
_space_group_IT_number 2
loop_
_space_group_symop_operation_xyz
'x,y,z'
'-x,-y,-z'
loop_
_atom_site_label
_atom_site_type_symbol
_atom_site_fract_x
_atom_site_fract_y
_atom_site_fract_z
Ba1 Ba 0.0000 0.0000 0.0000
Ba2 Ba 0.0000 0.0000 0.5000
Li1 Li 0.2869 0.4265 0.1538
Ta1 Ta 0.2969 0.4064 0.6257
```

Record 4
Theoretical PXRD pattern of Mg7TlZn2 for Cu Kα (weighted mean of Kα1 and Kα2), from a crystal structure in Alexandria, relaxed with GGA-PBE.
Lines closer than 0.1° are merged.

Top 12 peaks for 2θ = 10–80°, in order of rising 2θ:
d/Å, 2theta, I (rel.), index
4.533, 19.58, 16, 1 0 1
3.860, 23.04, 100, 1 0 3
3.284, 27.15, 15, 1 1 0
3.132, 28.50, 16, 1 1 2
2.778, 32.23, 18, 1 1 4
2.386, 37.71, 70, 1 1 6
2.322, 38.78, 36, 2 0 0
2.070, 43.72, 22, 1 0 9
1.990, 45.59, 33, 2 1 3
1.642, 56.00, 12, 2 2 0
1.546, 59.84, 15, 2 1 9
1.353, 69.50, 22, 3 1 6

```
data_Mg7TlZn2
_chemical_formula_sum 'Mg14 Tl2 Zn4'
_cell_length_a 4.6443
_cell_length_b 4.6443
_cell_length_c 20.8258
_cell_angle_alpha 90.00
_cell_angle_beta 90.00
_cell_angle_gamma 90.00
_space_group_name_H-M_alt 'I 4/m m m'
_space_group_IT_number 139
_space_group_name_Hall '-I 4 2'
loop_
_atom_site_label
_atom_site_type_symbol
_atom_site_fract_x
_atom_site_fract_y
_atom_site_fract_z
Mg1 Mg 0.0000 0.0000 0.0000
Mg2 Mg 0.0000 0.5000 0.1018
Mg3 Mg 0.0000 0.5000 0.2500
Tl1 Tl 0.0000 0.0000 0.5000
Zn1 Zn 0.0000 0.0000 0.1724
```

Record 5
Theoretical PXRD pattern of PmNdScCd for Cu Kα (weighted mean of Kα1 and Kα2), from a crystal structure in Alexandria, relaxed with GGA-PBE.
Lines closer than 0.1° are merged.

Top 12 peaks for 2θ = 10–80°, in order of rising 2θ:
d/Å, 2theta, I (rel.), index
3.326, 26.81, 20, 1 0 1
2.962, 30.17, 9, 0 0 3
2.791, 32.07, 100, 1 0 2
2.536, 35.40, 42, 1 1 0
2.222, 40.61, 9, 0 0 4
1.926, 47.18, 11, 1 1 3
1.793, 50.92, 15, 2 0 0
1.671, 54.94, 15, 1 1 4
1.593, 57.90, 10, 1 0 5
1.534, 60.34, 5, 2 0 3
1.509, 61.46, 30, 2 1 2
1.395, 67.07, 8, 2 0 4

```
data_PmNdScCd
_chemical_formula_sum 'Pm1 Nd1 Sc1 Cd1'
_cell_length_a 3.5863
_cell_length_b 3.5863
_cell_length_c 8.8872
_cell_angle_alpha 90.00
_cell_angle_beta 90.00
_cell_angle_gamma 90.00
_space_group_name_H-M_alt 'P 4 m m'
_space_group_IT_number 99
loop_
_space_group_symop_operation_xyz
'x,y,z'
'-y,x,z'
'-x,-y,z'
'y,-x,z'
'-x,y,z'
'y,x,z'
'x,-y,z'
'-y,-x,z'
loop_
_atom_site_label
_atom_site_type_symbol
_atom_site_fract_x
_atom_site_fract_y
_atom_site_fract_z
Pm1 Pm 0.0000 0.0000 0.0000
Nd1 Nd 0.5000 0.5000 0.7022
Sc1 Sc 0.0000 0.0000 0.4390
Cd1 Cd 0.5000 0.5000 0.2493
```

Record 6
Theoretical PXRD pattern of PmNiSb3 for Cu Kα (weighted mean of Kα1 and Kα2), from a crystal structure in Alexandria, relaxed with GGA-PBE.
Lines closer than 0.1° are merged.

Top 12 peaks for 2θ = 10–80°, in order of rising 2θ:
d/Å, 2theta, I (rel.), index
3.171, 28.14, 21, 4 0 0
3.030, 29.48, 17, 3 1 1
2.965, 30.15, 18, 1 0 2
2.783, 32.16, 69, 2 2 0
2.748, 32.59, 43, 2 0 2
2.561, 35.03, 100, 4 1 1
2.535, 35.41, 22, 5 0 0
2.499, 35.94, 22, 3 2 0
2.473, 36.33, 32, 3 0 2
2.173, 41.56, 73, 0 2 2
1.650, 55.72, 40, 4 1 3
1.349, 69.70, 25, 2 4 2

```
data_PmNiSb3
_chemical_formula_sum 'Pm4 Ni4 Sb12'
_cell_length_a 12.6832
_cell_length_b 6.1945
_cell_length_c 6.0980
_cell_angle_alpha 90.00
_cell_angle_beta 90.00
_cell_angle_gamma 90.00
_space_group_name_H-M_alt 'P b c m'
_space_group_IT_number 57
loop_
_space_group_symop_operation_xyz
'x,y,z'
'-x,-y,-z'
'-x,-y,z+1/2'
'x,y,-z+1/2'
'x,-y+1/2,-z'
'-x,y+1/2,z'
'-x,y+1/2,-z+1/2'
'x,-y+1/2,z+1/2'
loop_
_atom_site_label
_atom_site_type_symbol
_atom_site_fract_x
_atom_site_fract_y
_atom_site_fract_z
Pm1 Pm 0.1956 0.0008 0.2500
Ni1 Ni 0.4013 0.2500 0.0000
Sb1 Sb 0.0020 0.2500 0.0000
Sb2 Sb 0.2804 0.5033 0.2500
Sb3 Sb 0.4493 0.5987 0.7500
```